# Sr4SeI6
Simulated powder X-ray diffraction pattern, a wavelength of 1.5418 Å. Input: a crystal structure in Alexandria, relaxed with PBE.

Cell and atoms:
Cell lengths 10.892, 10.892, 7.968 Å; angles 90.00, 90.00, 90.00 degrees
Fractional coordinates of all 22 atoms:
Sr 0.001 0.750 0.081
Sr 0.250 0.501 0.419
Sr 0.250 0.999 0.419
Sr 0.499 0.750 0.081
Sr 0.501 0.250 0.919
Sr 0.750 0.001 0.581
Sr 0.750 0.499 0.581
Sr 0.999 0.250 0.919
Se 0.250 0.750 0.250
Se 0.750 0.250 0.750
I 0.043 0.543 0.750
I 0.043 0.957 0.750
I 0.250 0.250 0.152
I 0.250 0.250 0.652
I 0.457 0.543 0.750
I 0.457 0.957 0.750
I 0.543 0.043 0.250
I 0.543 0.457 0.250
I 0.750 0.750 0.348
I 0.750 0.750 0.848
I 0.957 0.043 0.250
I 0.957 0.457 0.250

Top 10 peaks for 5 to 70 degrees two-theta, low angle first:
4.496 Å, 19.75°, I 63; 3.304 Å, 26.99°, I 87; 3.084 Å, 28.95°, I 78; 2.825 Å, 31.68°, I 42; 2.769 Å, 32.33°, I 100; 2.723 Å, 32.89°, I 79; 2.407 Å, 37.36°, I 38; 2.331 Å, 38.63°, I 55; 1.960 Å, 46.32°, I 31; 1.609 Å, 57.25°, I 33